RuRh2Pb: theoretical powder XRD pattern (copper Kα), based on a DFT-relaxed cell (PBE, Alexandria).

Crystal structure
```
data_RuRh2Pb
_chemical_formula_sum 'Ru2 Rh4 Pb2'
_cell_length_a 4.099
_cell_length_b 4.099
_cell_length_c 7.694
_cell_angle_alpha 90.00
_cell_angle_beta 90.00
_cell_angle_gamma 90.00
_space_group_name_H-M_alt 'P 1'
_space_group_IT_number 1
loop_
_space_group_symop_operation_xyz
'x,y,z'
loop_
_atom_site_label
_atom_site_fract_x
_atom_site_fract_y
_atom_site_fract_z
_atom_site_occupancy
Ru1 0.000 0.000 0.000 1
Ru2 0.500 0.500 0.500 1
Rh1 0.000 0.000 0.500 1
Rh2 0.000 0.500 0.250 1
Rh3 0.500 0.000 0.750 1
Rh4 0.500 0.500 0.000 1
Pb1 0.000 0.500 0.750 1
Pb2 0.500 0.000 0.250 1
```

Principal peaks in the range 2θ from 15° to 90°, by angle:
2θ (°)  I/Imax  h k l
24.61  11.2  1 0 1
38.90  100.0  1 1 2
44.19  34.8  2 0 0
47.26  14.3  0 0 4
51.23  3.5  2 1 1
64.27  11.4  2 2 0
66.69  20.4  2 0 4
77.74  26.4  3 1 2
82.20  11.5  1 1 6
83.52  11.1  2 2 4